[1]
Starting from a DFT-relaxed cell (PBE, Alexandria), the XRD peak list of Dy5Ho8In was simulated for λ = 1.5418 Å (Cu Kα).
No peak broadening, texture or thermal motion is included.

Crystal structure
```
Dy5Ho8In
1.0
-4.7700 4.7700 4.9264
4.7700 -4.7700 4.9264
4.7700 4.7700 -4.9264
Dy Ho In
5 8 1
Direct
0.0000 0.0000 0.0000 Dy
0.2100 0.3166 0.6881 Dy
0.4782 0.7900 0.1066 Dy
0.6285 0.5218 0.3119 Dy
0.6834 0.3715 0.8934 Dy
0.1600 0.4304 0.0971 Ho
0.3332 0.0628 0.9029 Ho
0.4158 0.1586 0.3935 Ho
0.5696 0.6668 0.7296 Ho
0.7651 0.0223 0.6065 Ho
0.8414 0.2349 0.2572 Ho
0.9372 0.8400 0.2704 Ho
0.9777 0.5842 0.7428 Ho
0.2500 0.7500 0.5000 In
```

Principal peaks in the range 2θ from 10° to 80°, most intense first:
- 2θ 29.6, I 100
- 2θ 34.5, I 68
- 2θ 28.7, I 41
- 2θ 35.1, I 34
- 2θ 34.9, I 32
- 2θ 64.6, I 17
- 2θ 32.2, I 16
- 2θ 55.7, I 16
- 2θ 61.5, I 11
- 2θ 48.6, I 11

***

[2]
Starting from a DFT-relaxed cell (PBE, Alexandria), the XRD peak list of CeCo2NiH8 was simulated for λ = 1.5418 Å (Cu Kα).
No peak broadening, texture or thermal motion is included.

Crystal structure
```
CeCo2NiH8
1.0
2.2149 1.2788 5.2871
-2.2149 1.2788 5.2871
0.0000 -2.5575 5.2871
Ce Co Ni H
1 2 1 8
Direct
0.0000 0.0000 0.0000 Ce
0.1998 0.1998 0.1998 Co
0.8002 0.8002 0.8002 Co
0.5000 0.5000 0.5000 Ni
0.1394 0.8189 0.4095 H
0.1811 0.5905 0.8606 H
0.3016 0.3016 0.3016 H
0.4095 0.1394 0.8189 H
0.5905 0.8606 0.1811 H
0.6984 0.6984 0.6984 H
0.8189 0.4095 0.1394 H
0.8606 0.1811 0.5905 H
```

Principal peaks in the range 2θ from 10° to 80°, most intense first:
- 2θ 32.5, I 100
- 2θ 40.7, I 98
- 2θ 23.9, I 47
- 2θ 54.0, I 47
- 2θ 36.8, I 46
- 2θ 25.8, I 32
- 2θ 33.9, I 30
- 2θ 63.5, I 25
- 2θ 53.0, I 25
- 2θ 69.0, I 21

***

[3]
Starting from a DFT-relaxed cell (PBE, Alexandria), the XRD peak list of PmCo6Ge4 was simulated for λ = 1.5418 Å (Cu Kα).
No peak broadening, texture or thermal motion is included.

Crystal structure
```
PmCo6Ge4
1.0
6.8040 0.0000 0.0000
-3.4020 5.8924 0.0000
0.0000 0.0000 3.7399
Pm Co Ge
1 6 4
Direct
0.0000 0.0000 0.0000 Pm
0.2073 0.4145 0.5000 Co
0.2073 0.7927 0.5000 Co
0.5351 0.0702 0.0000 Co
0.5351 0.4649 0.0000 Co
0.5855 0.7927 0.5000 Co
0.9298 0.4649 0.0000 Co
0.3333 0.6667 0.0000 Ge
0.3927 0.1964 0.5000 Ge
0.8036 0.1964 0.5000 Ge
0.8036 0.6073 0.5000 Ge
```

Principal peaks in the range 2θ from 10° to 80°, most intense first:
- 2θ 38.9, I 100
- 2θ 35.7, I 47
- 2θ 40.5, I 46
- 2θ 47.5, I 31
- 2θ 48.7, I 30
- 2θ 53.9, I 27
- 2θ 52.6, I 26
- 2θ 65.1, I 22
- 2θ 75.6, I 19
- 2θ 62.0, I 14